# 1
Structure and simulated PXRD pattern of K2NiC4S4O4 (DFT lattice parameters and positions (GGA+U); Cu Kα, 1.54184 Å).
Lines closer than 0.1° are merged.

Structural model:
```
data_K2NiC4S4O4
_symmetry_space_group_name_H-M 'P 1 21/c 1'
_symmetry_Int_Tables_number 14
_cell_length_a 11.120
_cell_length_b 4.238
_cell_length_c 13.509
_cell_angle_alpha 90.00
_cell_angle_beta 118.08
_cell_angle_gamma 90.00
loop_
_symmetry_equiv_pos_as_xyz
'x,y,z'
'-x,-y,-z'
'-x,y+1/2,-z+1/2'
'x,-y+1/2,z+1/2'
loop_
_atom_site_label
_atom_site_fract_x
_atom_site_fract_y
_atom_site_fract_z
K1 0.128 0.204 0.160
Ni1 0.500 0.000 0.500
C1 0.216 0.659 0.398
C2 0.231 0.686 0.007
S1 0.345 0.713 0.364
S2 0.378 0.015 0.590
O1 0.111 0.506 0.339
O2 0.134 0.714 0.029
```

Peak list (6 most intense, 2θ from 5° to 70°, in order of rising 2θ)
2θ (°)	d (Å)	I/Imax
13.26	6.675	573
14.86	5.960	651
25.37	3.510	1000
25.80	3.454	756
30.85	2.899	450
34.75	2.582	402

# 2
Structure and simulated PXRD pattern of K2VPCO7 (DFT lattice parameters and positions (GGA+U); Cu Kα, 1.54184 Å).
Lines closer than 0.1° are merged.

Structural model:
```
data_K2VPCO7
_symmetry_space_group_name_H-M 'P 1'
_symmetry_Int_Tables_number 1
_cell_length_a 6.764
_cell_length_b 9.785
_cell_length_c 11.259
_cell_angle_alpha 90.45
_cell_angle_beta 90.43
_cell_angle_gamma 90.05
loop_
_symmetry_equiv_pos_as_xyz
'x,y,z'
loop_
_atom_site_label
_atom_site_fract_x
_atom_site_fract_y
_atom_site_fract_z
K1 0.000 0.000 0.000
K2 0.002 0.999 0.501
K3 0.043 0.528 0.751
K4 0.049 0.524 0.250
K5 0.498 0.526 0.747
K6 0.503 0.529 0.247
K7 0.546 0.996 0.004
K8 0.548 0.999 0.505
V1 0.271 0.122 0.237
V2 0.273 0.124 0.738
V3 0.774 0.403 0.513
V4 0.776 0.401 0.014
P1 0.274 0.329 0.487
P2 0.275 0.329 0.988
P3 0.771 0.196 0.264
P4 0.775 0.196 0.764
C1 0.273 0.868 0.260
C2 0.273 0.869 0.760
C3 0.774 0.657 0.491
C4 0.774 0.657 0.992
O1 0.085 0.416 0.512
O2 0.087 0.416 0.013
O3 0.265 0.931 0.157
O4 0.266 0.283 0.354
O5 0.268 0.932 0.656
O6 0.269 0.282 0.855
O7 0.273 0.742 0.772
O8 0.274 0.741 0.272
O9 0.275 0.201 0.070
O10 0.277 0.203 0.570
O11 0.278 0.957 0.849
O12 0.279 0.957 0.350
O13 0.463 0.416 0.011
O14 0.463 0.417 0.508
O15 0.583 0.108 0.239
O16 0.586 0.109 0.742
O17 0.766 0.568 0.902
O18 0.772 0.238 0.398
O19 0.772 0.323 0.681
O20 0.772 0.324 0.183
O21 0.772 0.593 0.594
O22 0.774 0.783 0.979
O23 0.774 0.784 0.479
O24 0.776 0.569 0.401
O25 0.783 0.243 0.897
O26 0.783 0.593 0.095
O27 0.960 0.109 0.239
O28 0.962 0.109 0.739
```

Peak list (6 most intense, 2θ from 5° to 70°, in order of rising 2θ)
2θ (°)	d (Å)	I/Imax
9.04	9.785	1000
15.93	5.564	256
24.01	3.707	276
31.80	2.814	462
32.12	2.787	467
32.22	2.778	305

# 3
Structure and simulated PXRD pattern of K2VPCO7 (DFT lattice parameters and positions (GGA+U); Cu Kα, 1.54184 Å).
Lines closer than 0.1° are merged.

Structural model:
```
data_K2VPCO7
_symmetry_space_group_name_H-M 'P 1 21 1'
_symmetry_Int_Tables_number 4
_cell_length_a 5.638
_cell_length_b 6.729
_cell_length_c 19.583
_cell_angle_alpha 90.00
_cell_angle_beta 90.14
_cell_angle_gamma 90.00
loop_
_symmetry_equiv_pos_as_xyz
'x,y,z'
'-x,y+1/2,-z'
loop_
_atom_site_label
_atom_site_fract_x
_atom_site_fract_y
_atom_site_fract_z
K1 0.246 0.000 0.381
K2 0.246 0.000 0.881
K3 0.246 0.455 0.381
K4 0.246 0.455 0.881
V1 0.226 0.228 0.179
V2 0.226 0.228 0.679
P1 0.278 0.728 0.216
P2 0.278 0.728 0.716
C1 0.269 0.228 0.052
C2 0.269 0.228 0.552
O1 0.064 0.227 0.084
O2 0.064 0.228 0.585
O3 0.110 0.727 0.279
O4 0.110 0.728 0.779
O5 0.232 0.538 0.672
O6 0.233 0.538 0.172
O7 0.233 0.917 0.172
O8 0.233 0.917 0.672
O9 0.291 0.228 0.489
O10 0.292 0.228 0.989
O11 0.450 0.228 0.096
O12 0.450 0.228 0.596
O13 0.456 0.227 0.261
O14 0.456 0.228 0.761
```

Peak list (6 most intense, 2θ from 5° to 70°, in order of rising 2θ)
2θ (°)	d (Å)	I/Imax
9.03	9.792	1000
15.98	5.545	254
24.07	3.698	407
31.70	2.822	695
32.30	2.772	914
45.90	1.977	232

# 4
Structure and simulated PXRD pattern of K2VPCO7 (DFT lattice parameters and positions (GGA+U); Cu Kα, 1.54184 Å).
Lines closer than 0.1° are merged.

Structural model:
```
data_K2VPCO7
_symmetry_space_group_name_H-M 'P 1'
_symmetry_Int_Tables_number 1
_cell_length_a 6.762
_cell_length_b 9.795
_cell_length_c 11.264
_cell_angle_alpha 90.54
_cell_angle_beta 90.39
_cell_angle_gamma 90.05
loop_
_symmetry_equiv_pos_as_xyz
'x,y,z'
loop_
_atom_site_label
_atom_site_fract_x
_atom_site_fract_y
_atom_site_fract_z
K1 0.000 0.000 0.000
K2 0.001 0.001 0.500
K3 0.454 0.003 0.994
K4 0.456 0.003 0.495
K5 0.496 0.533 0.746
K6 0.504 0.527 0.245
K7 0.951 0.529 0.742
K8 0.959 0.534 0.243
V1 0.227 0.406 0.509
V2 0.229 0.406 0.009
V3 0.724 0.127 0.232
V4 0.727 0.127 0.733
P1 0.223 0.200 0.259
P2 0.230 0.200 0.759
P3 0.727 0.333 0.482
P4 0.728 0.333 0.982
C1 0.228 0.660 0.486
C2 0.228 0.660 0.987
C3 0.726 0.872 0.255
C4 0.727 0.873 0.755
O1 0.036 0.113 0.233
O2 0.040 0.114 0.736
O3 0.220 0.244 0.393
O4 0.220 0.571 0.897
O5 0.220 0.597 0.590
O6 0.225 0.328 0.177
O7 0.227 0.327 0.676
O8 0.228 0.787 0.474
O9 0.228 0.787 0.974
O10 0.236 0.246 0.892
O11 0.236 0.571 0.397
O12 0.236 0.597 0.090
O13 0.412 0.113 0.235
O14 0.416 0.112 0.734
O15 0.539 0.419 0.509
O16 0.540 0.420 0.008
O17 0.717 0.935 0.151
O18 0.719 0.287 0.349
O19 0.722 0.289 0.849
O20 0.722 0.936 0.651
O21 0.726 0.746 0.767
O22 0.727 0.205 0.064
O23 0.728 0.746 0.267
O24 0.731 0.206 0.565
O25 0.733 0.961 0.344
O26 0.733 0.961 0.844
O27 0.916 0.421 0.503
O28 0.917 0.419 0.006
```

Peak list (6 most intense, 2θ from 5° to 70°, in order of rising 2θ)
2θ (°)	d (Å)	I/Imax
9.03	9.795	1000
15.93	5.564	256
23.97	3.713	277
31.79	2.815	461
32.13	2.786	463
32.22	2.779	305

# 5
Structure and simulated PXRD pattern of K3VPCO7 (DFT lattice parameters and positions (GGA+U); Cu Kα, 1.54184 Å).
Lines closer than 0.1° are merged.

Structural model:
```
data_K3VPCO7
_symmetry_space_group_name_H-M 'P 1 21/m 1'
_symmetry_Int_Tables_number 11
_cell_length_a 5.696
_cell_length_b 6.995
_cell_length_c 9.674
_cell_angle_alpha 90.00
_cell_angle_beta 90.05
_cell_angle_gamma 90.00
loop_
_symmetry_equiv_pos_as_xyz
'x,y,z'
'-x,-y,-z'
'-x,y+1/2,-z'
'x,-y+1/2,z'
loop_
_atom_site_label
_atom_site_fract_x
_atom_site_fract_y
_atom_site_fract_z
K1 0.242 0.250 0.072
K2 0.257 0.510 0.713
V1 0.238 0.750 0.348
P1 0.268 0.250 0.417
C1 0.257 0.750 0.079
O1 0.058 0.750 0.147
O2 0.083 0.250 0.535
O3 0.237 0.069 0.324
O4 0.264 0.750 0.946
O5 0.450 0.750 0.154
O6 0.480 0.750 0.521
```

Peak list (6 most intense, 2θ from 5° to 70°, in order of rising 2θ)
2θ (°)	d (Å)	I/Imax
9.14	9.674	272
25.47	3.498	200
31.41	2.848	1000
31.57	2.834	362
31.89	2.806	282
42.34	2.135	250

# 6
Structure and simulated PXRD pattern of K2WC2O9 (DFT lattice parameters and positions (GGA+U); Cu Kα, 1.54184 Å).
Lines closer than 0.1° are merged.

Structural model:
```
data_K2WC2O9
_symmetry_space_group_name_H-M 'P 1 21/c 1'
_symmetry_Int_Tables_number 14
_cell_length_a 7.199
_cell_length_b 9.083
_cell_length_c 15.314
_cell_angle_alpha 90.00
_cell_angle_beta 115.10
_cell_angle_gamma 90.00
loop_
_symmetry_equiv_pos_as_xyz
'x,y,z'
'-x,-y,-z'
'-x,y+1/2,-z+1/2'
'x,-y+1/2,z+1/2'
loop_
_atom_site_label
_atom_site_fract_x
_atom_site_fract_y
_atom_site_fract_z
K1 0.007 0.070 0.270
K2 0.292 0.151 0.024
W1 0.404 0.704 0.667
C1 0.201 0.710 0.954
C2 0.245 0.566 0.016
O1 0.105 0.674 0.637
O2 0.109 0.703 0.865
O3 0.205 0.056 0.477
O4 0.229 0.535 0.665
O5 0.271 0.672 0.506
O6 0.325 0.588 0.109
O7 0.342 0.221 0.855
O8 0.381 0.067 0.831
O9 0.495 0.733 0.287
```

Peak list (6 most intense, 2θ from 5° to 70°, in order of rising 2θ)
2θ (°)	d (Å)	I/Imax
13.58	6.520	419
14.16	6.255	500
16.08	5.512	1000
24.41	3.646	437
24.77	3.595	612
25.40	3.507	396